Calculated XRD peak list of SrZnSbBr for Cu Kα, 1.54184 Å, from a structure optimized by DFT (GGA-PBE).
No peak broadening, texture or thermal motion is included.

Atomic structure:
Cell: 14.828 14.828 14.828 Å, 17.73 17.73 17.73°
Fractional positions:
Sr  0.089  0.089  0.089
Sr  0.911  0.911  0.911
Zn  0.310  0.310  0.310
Zn  0.690  0.690  0.690
Sb  0.374  0.374  0.374
Sb  0.626  0.626  0.626
Br  0.208  0.208  0.208
Br  0.792  0.792  0.792

Main lines, sorted by position (2θ = 10–80°):
2θ/deg	I (rel.)
23.91	47.7
26.66	83.6
30.45	56.7
34.99	33.0
39.44	100.0
41.86	40.1